# 1
The following is a computed powder XRD pattern of Tl7Cd. It was derived from a DFT-relaxed cell (GGA-PBE, Alexandria), using CuKα.

Top 8 peaks for 10 to 80 degrees two-theta, in order of falling intensity:
- 2θ = 31.61°, 2.831 Å, I 100, (1 1 4)
- 2θ = 38.10°, 2.362 Å, I 31, (2 0 0)
- 2θ = 64.82°, 1.438 Å, I 26, (3 1 4)
- 2θ = 51.70°, 1.768 Å, I 25, (2 0 8)
- 2θ = 33.61°, 2.666 Å, I 21, (0 0 8)
- 2θ = 58.85°, 1.569 Å, I 17, (1 1 12)
- 2θ = 66.00°, 1.415 Å, I 12, (2 2 8)
- 2θ = 54.98°, 1.670 Å, I 11, (2 2 0)

Cell: 4.724 4.724 21.331 Å, 90.00 90.00 90.00°
Space group I4/mmm (No. 139)
One atom of each set of equivalent atoms:
Tl1 0.000 0.000 0.000
Tl2 0.000 0.000 0.251
Tl3 0.000 0.500 0.122
Cd1 0.000 0.000 0.500


# 2
The following is a computed powder XRD pattern of TlCd12. It was derived from a DFT-relaxed cell (GGA-PBE, Alexandria), using CuKα.

Top 8 peaks for 10 to 80 degrees two-theta, in order of falling intensity:
- 2θ = 35.12°, 2.555 Å, I 100, (3 2 1)
- 2θ = 34.46°, 2.602 Å, I 77, (2 0 2)
- 2θ = 35.34°, 2.540 Å, I 57, (4 0 0)
- 2θ = 38.88°, 2.316 Å, I 49, (2 2 2)
- 2θ = 30.23°, 2.956 Å, I 47, (3 0 1)
- 2θ = 62.87°, 1.478 Å, I 27, (6 0 2)
- 2θ = 56.01°, 1.642 Å, I 25, (3 2 3)
- 2θ = 39.67°, 2.272 Å, I 24, (4 2 0)

Cell: 10.160 10.160 6.061 Å, 90.00 90.00 90.00°
Space group I4/mmm (No. 139)
One atom of each set of equivalent atoms:
Tl1 0.000 0.000 0.000
Cd1 0.000 0.214 0.500
Cd2 0.000 0.352 0.000
Cd3 0.250 0.250 0.250


# 3
The following is a computed powder XRD pattern of Tl4Cd. It was derived from a DFT-relaxed cell (GGA-PBE, Alexandria), using CuKα.

Top 8 peaks for 10 to 80 degrees two-theta, in order of falling intensity:
- 2θ = 29.69°, 3.009 Å, I 100, (2 1 0)
- 2θ = 32.60°, 2.747 Å, I 87, (1 1 2)
- 2θ = 44.69°, 2.028 Å, I 19, (3 1 1)
- 2θ = 50.78°, 1.798 Å, I 18, (3 2 1)
- 2θ = 42.48°, 2.128 Å, I 16, (1 0 3)
- 2θ = 65.03°, 1.434 Å, I 15, (3 3 2)
- 2θ = 71.53°, 1.319 Å, I 15, (5 0 1)
- 2θ = 40.20°, 2.243 Å, I 14, (2 1 2)

Cell: 6.724 6.724 6.737 Å, 90.00 90.00 90.00°
Space group P-42_1c (No. 114)
One atom of each set of equivalent atoms:
Tl1 0.107 0.280 0.361
Cd1 0.000 0.000 0.000